# GdDyB2Ir2N2
Theoretical X-ray diffraction stick pattern, Cu Kα (λ = 1.5418 Å). Input: a crystal structure in OQMD, relaxed with PBE.
Neutral-atom scattering factors, no anomalous dispersion.

Cell and atoms:
Unit cell a=3.7497 b=3.7497 c=7.4676 alpha=90.00 beta=90.00 gamma=90.00
Space group P4mm (No. 99)
One atom of each set of equivalent atoms:
1 Gd 0.0000 0.0000 0.0000
2 Dy 0.5000 0.5000 0.3258
3 B 0.0000 0.0000 0.5073
4 B 0.5000 0.5000 0.8197
5 Ir 0.0000 0.5000 0.6626
6 N 0.0000 0.0000 0.3077
7 N 0.5000 0.5000 0.0202

The 10 most intense peaks (2θ from 10° to 90°), low angle first:
hkl, d_spacing, 2theta, I (rel.)
0 0 1, 7.468, 11.9, 48
1 0 1, 3.351, 26.6, 39
1 0 2, 2.646, 33.9, 28
1 1 1, 2.499, 35.9, 100
0 0 3, 2.489, 36.1, 40
1 1 2, 2.162, 41.8, 62
2 0 0, 1.875, 48.6, 38
1 1 4, 1.526, 60.7, 25
2 0 3, 1.498, 62.0, 34
2 2 3, 1.171, 82.4, 34


# K2ZnSbHS4
Theoretical X-ray diffraction stick pattern, Cu Kα (λ = 1.5418 Å). Input: a crystal structure in OQMD, relaxed with PBE.
Neutral-atom scattering factors, no anomalous dispersion.

Cell and atoms:
Unit cell a=7.1278 b=7.4241 c=8.6826 alpha=78.45 beta=89.15 gamma=86.75
Space group P-1 (No. 2)
One atom of each set of equivalent atoms:
1 K 0.2034 0.1545 0.0571
2 K 0.2681 0.8858 0.5836
3 Zn 0.2611 0.6261 0.2139
4 Sb 0.2559 0.3951 0.6214
5 H 0.4003 0.6309 0.9047
6 S 0.0051 0.8065 0.2961
7 S 0.2170 0.6099 0.9469
8 S 0.3116 0.3246 0.3579
9 S 0.4958 0.1749 0.7596

The 10 most intense peaks (2θ from 10° to 90°), low angle first:
hkl, d_spacing, 2theta, I (rel.)
0 0 1, 8.507, 10.4, 42
0 1 0, 7.263, 12.2, 84
0 1 1, 6.165, 14.4, 100
1 0 -2, 3.649, 24.4, 80
2 0 0, 3.558, 25.0, 94
1 2 1, 3.294, 27.1, 41
1 2 -1, 2.909, 30.7, 55
1 -2 1, 2.812, 31.8, 57
1 0 3, 2.635, 34.0, 37
-1 1 3, 2.615, 34.3, 47


# Cd2SeS
Theoretical X-ray diffraction stick pattern, Cu Kα (λ = 1.5418 Å). Input: a crystal structure in OQMD, relaxed with PBE.
Neutral-atom scattering factors, no anomalous dispersion.

Cell and atoms:
Unit cell a=4.2867 b=4.2867 c=6.0635 alpha=90.00 beta=90.00 gamma=90.00
Space group P-4m2 (No. 115)
One atom of each set of equivalent atoms:
1 Cd 0.0000 0.5000 0.2380
2 Se 0.0000 0.0000 0.5000
3 S 0.5000 0.5000 0.0000

The 10 most intense peaks (2θ from 10° to 90°), low angle first:
hkl, d_spacing, 2theta, I (rel.)
1 0 1, 3.500, 25.4, 100
1 1 0, 3.031, 29.5, 10
1 1 1, 2.711, 33.0, 3
2 0 0, 2.143, 42.2, 67
2 1 1, 1.828, 49.9, 45
2 2 0, 1.516, 61.1, 11
3 0 1, 1.391, 67.3, 17
3 1 0, 1.356, 69.3, 3
3 1 2, 1.238, 77.1, 21
3 2 1, 1.167, 82.7, 13


# KCd5
Theoretical X-ray diffraction stick pattern, Cu Kα (λ = 1.5418 Å). Input: a crystal structure in OQMD, relaxed with PBE.
Neutral-atom scattering factors, no anomalous dispersion.

Cell and atoms:
Unit cell a=6.7920 b=12.2981 c=8.5075 alpha=90.00 beta=112.45 gamma=90.00
Space group C2/c (No. 15)
One atom of each set of equivalent atoms:
1 K 0.0000 0.1759 0.2500
2 Cd 0.0000 0.1276 0.7500
3 Cd 0.0734 0.3369 0.9468
4 Cd 0.2079 0.4488 0.3959

The 10 most intense peaks (2θ from 10° to 90°), low angle first:
hkl, d_spacing, 2theta, I (rel.)
1 1 -1, 5.531, 16.0, 29
2 0 -2, 3.096, 28.8, 28
1 3 1, 2.929, 30.5, 18
1 3 -2, 2.903, 30.8, 50
0 4 1, 2.863, 31.2, 22
1 1 2, 2.798, 32.0, 100
2 2 -3, 2.353, 38.3, 53
1 5 -1, 2.286, 39.4, 44
3 1 -1, 2.210, 40.8, 20
2 4 0, 2.197, 41.1, 18


- Which formula does entry 4 have?
  KCd5